Theoretical X-ray diffraction stick pattern
Compound: Hf3ScHg2C2
Radiation: Cu Kα (weighted mean of Kα1 and Kα2)
Structure: a structure optimized by DFT (GGA-PBE)

Main lines, in order of rising 2θ (2θ = 5–70°):
2θ = 5.96°, rel. 217, (0 0 1)
2θ = 11.94°, rel. 59, (0 0 2)
2θ = 31.14°, rel. 237, (1 0 0)
2θ = 36.18°, rel. 1000, (1 0 3)
2θ = 36.38°, rel. 208, (0 0 6)
2θ = 48.62°, rel. 163, (0 1 6)
2θ = 55.41°, rel. 203, (1 1 0)
2θ = 65.33°, rel. 187, (1 0 9)
2θ = 67.98°, rel. 161, (0 2 3)
2θ = 68.11°, rel. 205, (1 1 6)

```
8
Lattice="3.3163 0.0000 0.0000 -1.6582 2.8720 0.0000 0.0000 0.0000 14.8183" Properties=species:S:1:pos:R:3 pbc="T T T"
Hf 0.0000 0.0000 0.0000
Hf 0.0000 0.0000 4.9412
Hf 0.0000 1.9147 7.4126
Sc 0.0000 1.9147 12.3197
Hg 0.0000 0.0000 9.8728
Hg 0.0000 1.9147 2.4729
C 1.6582 0.9573 6.1779
C 1.6582 0.9573 13.6513
```


Theoretical X-ray diffraction stick pattern
Compound: KDySeO
Radiation: Cu Kα (weighted mean of Kα1 and Kα2)
Structure: a structure optimized by DFT (GGA-PBE)

Main lines, in order of rising 2θ (2θ = 5–70°):
2θ = 11.63°, rel. 1000, (1 0 0)
2θ = 23.36°, rel. 181, (2 0 0)
2θ = 27.37°, rel. 201, (2 1 -1)
2θ = 27.95°, rel. 180, (0 0 2)
2θ = 28.98°, rel. 563, (1 2 -1)
2θ = 32.66°, rel. 388, (1 0 2)
2θ = 34.56°, rel. 314, (2 2 -1)
2θ = 38.58°, rel. 297, (2 2 1)
2θ = 48.53°, rel. 133, (1 2 -3)
2θ = 50.53°, rel. 125, (1 4 0)

```
16
Lattice="7.7856 0.0000 0.0000 0.0000 7.4372 0.0000 -1.3940 0.0000 6.3825" Properties=species:S:1:pos:R:3 pbc="T T T"
K 0.0135 1.6963 3.1673
K -0.6835 2.0223 6.3586
K 7.0751 5.4149 0.0239
K 6.3781 5.7409 3.2152
Dy 2.6073 4.6611 4.9611
Dy 3.3043 6.4947 1.7698
Dy 3.0873 0.9425 4.6127
Dy 3.7843 2.7761 1.4214
Se 1.3874 4.3804 2.2557
Se 0.6904 6.7754 5.4470
Se 5.7011 0.6618 0.9355
Se 5.0041 3.0568 4.1268
O 2.6208 1.1033 2.4444
O 1.9238 2.6153 5.6357
O 4.4678 4.8219 0.7468
O 3.7708 6.3340 3.9381
```


Theoretical X-ray diffraction stick pattern
Compound: GdMgAuO3
Radiation: Cu Kα (weighted mean of Kα1 and Kα2)
Structure: a structure optimized by DFT (GGA-PBE)

Main lines, in order of rising 2θ (2θ = 5–70°):
2θ = 8.15°, rel. 668, (0 0 1)
2θ = 16.48°, rel. 1000, (0 1 0)
2θ = 30.17°, rel. 248, (1 0 -2)
2θ = 31.53°, rel. 303, (1 -1 2)
2θ = 32.03°, rel. 181, (1 0 2)
2θ = 33.01°, rel. 178, (0 1 -4)
2θ = 33.18°, rel. 161, (0 1 3)
2θ = 33.34°, rel. 208, (0 2 0)
2θ = 35.04°, rel. 151, (1 0 -3)
2θ = 38.47°, rel. 181, (1 1 -3)

```
12
Lattice="3.4551 0.0000 0.0000 -1.0265 5.5604 0.0000 -0.1926 -2.8442 10.8487" Properties=species:S:1:pos:R:3 pbc="T T T"
Gd 0.0000 0.0000 0.0000
Gd 0.1556 3.2947 7.3238
Mg 1.7615 1.8692 1.7932
Mg 2.6334 0.6630 5.4083
Au -0.1853 4.3795 2.9465
Au 1.8307 3.0989 4.6771
O 0.0329 1.9896 0.7816
O 0.8425 1.5487 6.1775
O 1.7578 -0.3044 1.2294
O 2.1362 1.3953 3.6226
O 1.8357 3.0219 8.7342
O 2.8141 -1.0696 6.2422
```


Theoretical X-ray diffraction stick pattern
Compound: Zr3As4Pt4
Radiation: Cu Kα (weighted mean of Kα1 and Kα2)
Structure: a structure optimized by DFT (GGA-PBE)

Main lines, in order of rising 2θ (2θ = 5–70°):
2θ = 17.64°, rel. 478, (1 0 1)
2θ = 28.55°, rel. 333, (1 1 -1)
2θ = 35.11°, rel. 1000, (2 1 0)
2θ = 35.17°, rel. 180, (1 1 2)
2θ = 37.07°, rel. 420, (2 1 -1)
2θ = 41.94°, rel. 576, (0 1 3)
2θ = 42.37°, rel. 198, (3 0 -1)
2θ = 42.56°, rel. 185, (2 1 2)
2θ = 44.19°, rel. 242, (1 1 3)
2θ = 45.49°, rel. 396, (0 2 0)

```
11
Lattice="6.6566 0.0000 0.0000 0.0000 3.9879 0.0000 -0.0325 0.0000 7.6800" Properties=species:S:1:pos:R:3 pbc="T T T"
Zr 0.0000 0.0000 0.0000
Zr 0.4435 1.9940 2.8507
Zr 3.3478 0.0000 6.6644
As 1.9104 1.9940 0.4490
As 2.1153 0.0000 4.3166
As 5.0987 1.9940 6.0592
As 5.1470 0.0000 2.4387
Pt 1.1703 1.9940 5.7019
Pt 2.5535 0.0000 1.9021
Pt 4.6333 1.9940 0.9308
Pt 6.0189 0.0000 4.7945
```


Q: Which formula does entry 2 have?
A: KDySeO


Copy entry 1 word for word.
Theoretical X-ray diffraction stick pattern
Compound: Hf3ScHg2C2
Radiation: Cu Kα (weighted mean of Kα1 and Kα2)
Structure: a structure optimized by DFT (GGA-PBE)

Main lines, in order of rising 2θ (2θ = 5–70°):
2θ = 5.96°, rel. 217, (0 0 1)
2θ = 11.94°, rel. 59, (0 0 2)
2θ = 31.14°, rel. 237, (1 0 0)
2θ = 36.18°, rel. 1000, (1 0 3)
2θ = 36.38°, rel. 208, (0 0 6)
2θ = 48.62°, rel. 163, (0 1 6)
2θ = 55.41°, rel. 203, (1 1 0)
2θ = 65.33°, rel. 187, (1 0 9)
2θ = 67.98°, rel. 161, (0 2 3)
2θ = 68.11°, rel. 205, (1 1 6)

```
8
Lattice="3.3163 0.0000 0.0000 -1.6582 2.8720 0.0000 0.0000 0.0000 14.8183" Properties=species:S:1:pos:R:3 pbc="T T T"
Hf 0.0000 0.0000 0.0000
Hf 0.0000 0.0000 4.9412
Hf 0.0000 1.9147 7.4126
Sc 0.0000 1.9147 12.3197
Hg 0.0000 0.0000 9.8728
Hg 0.0000 1.9147 2.4729
C 1.6582 0.9573 6.1779
C 1.6582 0.9573 13.6513
```